Entry 1:
For PmY2Co9, DFT lattice parameters and positions (PBE) gives the simulated PXRD pattern in this record (λ = 1.5418 Å (Cu Kα)).

Peak list (10 most intense, 2θ = 10–90°, most intense first)
| two_theta | Rel. int. |
| --- | --- |
| 42.55 | 100 |
| 35.95 | 40 |
| 41.93 | 36 |
| 36.20 | 34 |
| 33.14 | 31 |
| 69.17 | 22 |
| 76.23 | 21 |
| 44.89 | 18 |
| 42.45 | 16 |
| 45.94 | 15 |

Crystal structure
Unit cell a=8.5764 b=8.5764 c=8.5764 alpha=33.87 beta=33.87 gamma=33.87
Element x y z (fractional)
Pm1 0.0000 0.0000 0.0000
Y1 0.1401 0.1401 0.1401
Y2 0.8599 0.8599 0.8599
Co1 0.0788 0.5830 0.5830
Co2 0.3349 0.3349 0.3349
Co3 0.4170 0.4170 0.9212
Co4 0.4170 0.9212 0.4170
Co5 0.5000 0.5000 0.5000
Co6 0.5830 0.0788 0.5830
Co7 0.5830 0.5830 0.0788
Co8 0.6651 0.6651 0.6651
Co9 0.9212 0.4170 0.4170

---

Entry 2:
For Nb3CoC2, DFT lattice parameters and positions (PBE) gives the simulated PXRD pattern in this record (λ = 1.5418 Å (Cu Kα)).

Peak list (10 most intense, 2θ = 10–90°, most intense first)
| two_theta | Rel. int. |
| --- | --- |
| 38.65 | 100 |
| 41.69 | 40 |
| 33.07 | 37 |
| 58.30 | 32 |
| 73.61 | 15 |
| 40.83 | 15 |
| 57.73 | 15 |
| 72.16 | 15 |
| 30.33 | 10 |
| 53.24 | 7 |

Crystal structure
Unit cell a=3.1651 b=3.1651 c=17.6827 alpha=90.00 beta=90.00 gamma=120.00
Element x y z (fractional)
Nb1 0.0000 0.0000 0.0000
Nb2 0.0000 0.0000 0.5000
Nb3 0.3333 0.6667 0.1436
Nb4 0.3333 0.6667 0.3564
Nb5 0.6667 0.3333 0.6436
Nb6 0.6667 0.3333 0.8564
Co1 0.0000 0.0000 0.2500
Co2 0.0000 0.0000 0.7500
C1 0.3333 0.6667 0.5763
C2 0.3333 0.6667 0.9237
C3 0.6667 0.3333 0.0763
C4 0.6667 0.3333 0.4237

---

Entry 3:
For Nb4Pt5Pb5, DFT lattice parameters and positions (PBE) gives the simulated PXRD pattern in this record (λ = 1.5418 Å (Cu Kα)).

Peak list (10 most intense, 2θ = 10–90°, most intense first)
| two_theta | Rel. int. |
| --- | --- |
| 40.12 | 100 |
| 24.25 | 62 |
| 47.42 | 28 |
| 72.93 | 16 |
| 72.81 | 9 |
| 63.82 | 9 |
| 58.09 | 9 |
| 35.16 | 8 |
| 78.17 | 7 |
| 28.07 | 6 |

Crystal structure
Unit cell a=7.7830 b=7.7830 c=7.7830 alpha=99.64 beta=99.64 gamma=131.69
Element x y z (fractional)
Nb1 0.0567 0.1564 0.7039
Nb2 0.4525 0.3528 0.2961
Nb3 0.6472 0.9433 0.0997
Nb4 0.8436 0.5475 0.9003
Pt1 0.0000 0.0000 0.0000
Pt2 0.1857 0.5763 0.8275
Pt3 0.4237 0.2512 0.6094
Pt4 0.6418 0.8143 0.3906
Pt5 0.7488 0.3582 0.1725
Pb1 0.1531 0.4620 0.1451
Pb2 0.3169 0.0080 0.8549
Pb3 0.5380 0.6831 0.6911
Pb4 0.7500 0.2500 0.5000
Pb5 0.9920 0.8469 0.3089

---

Entry 4:
For Cu9Ag, DFT lattice parameters and positions (PBE) gives the simulated PXRD pattern in this record (λ = 1.5418 Å (Cu Kα)).

Peak list (10 most intense, 2θ = 10–90°, most intense first)
| two_theta | Rel. int. |
| --- | --- |
| 42.18 | 100 |
| 49.47 | 59 |
| 43.42 | 27 |
| 87.67 | 19 |
| 71.68 | 19 |
| 73.45 | 14 |
| 86.82 | 11 |
| 89.35 | 7 |
| 38.89 | 2 |
| 46.88 | 2 |

Crystal structure
Unit cell a=20.8955 b=20.8955 c=20.8955 alpha=7.23 beta=7.23 gamma=7.23
Element x y z (fractional)
Cu1 0.0000 0.0000 0.0000
Cu2 0.0977 0.0977 0.0977
Cu3 0.2033 0.2033 0.2033
Cu4 0.3008 0.3008 0.3008
Cu5 0.3984 0.3984 0.3984
Cu6 0.6016 0.6016 0.6016
Cu7 0.6992 0.6992 0.6992
Cu8 0.7967 0.7967 0.7967
Cu9 0.9023 0.9023 0.9023
Ag1 0.5000 0.5000 0.5000

---

Entry 5:
For Li4Mg2NiPd, DFT lattice parameters and positions (PBE) gives the simulated PXRD pattern in this record (λ = 1.5418 Å (Cu Kα)).

Peak list (10 most intense, 2θ = 10–90°, most intense first)
| two_theta | Rel. int. |
| --- | --- |
| 24.84 | 100 |
| 41.13 | 82 |
| 48.65 | 46 |
| 28.76 | 27 |
| 74.95 | 26 |
| 65.55 | 18 |
| 80.38 | 13 |
| 59.57 | 13 |
| 67.47 | 9 |
| 89.26 | 8 |

Crystal structure
Unit cell a=4.3887 b=4.3887 c=6.2099 alpha=90.00 beta=90.00 gamma=90.00
Element x y z (fractional)
Li1 0.0000 0.0000 0.0000
Li2 0.0000 0.5000 0.2464
Li3 0.5000 0.0000 0.7536
Li4 0.5000 0.5000 0.5000
Mg1 0.0000 0.5000 0.7582
Mg2 0.5000 0.0000 0.2418
Ni1 0.5000 0.5000 0.0000
Pd1 0.0000 0.0000 0.5000

---

Entry 6:
For Sm2Sc2CIBr4, DFT lattice parameters and positions (PBE) gives the simulated PXRD pattern in this record (λ = 1.5418 Å (Cu Kα)).

Peak list (10 most intense, 2θ = 10–90°, most intense first)
| two_theta | Rel. int. |
| --- | --- |
| 32.20 | 100 |
| 31.36 | 42 |
| 31.88 | 33 |
| 45.82 | 28 |
| 28.94 | 27 |
| 45.29 | 25 |
| 11.19 | 24 |
| 21.03 | 23 |
| 17.04 | 22 |
| 47.89 | 19 |

Crystal structure
Unit cell a=9.0334 b=9.0334 c=8.1607 alpha=103.95 beta=103.95 gamma=24.28
Element x y z (fractional)
Sm1 0.1418 0.1418 0.0763
Sm2 0.8582 0.8582 0.9237
Sc1 0.5004 0.5004 0.1831
Sc2 0.4996 0.4996 0.8169
C1 0.0000 0.0000 0.0000
I1 0.0000 0.0000 0.5000
Br1 0.3359 0.3359 0.1817
Br2 0.3410 0.3410 0.6501
Br3 0.6590 0.6590 0.3499
Br4 0.6641 0.6641 0.8183

---

Entry 7:
For NbAl2Se2Cl8, DFT lattice parameters and positions (PBE) gives the simulated PXRD pattern in this record (λ = 1.5418 Å (Cu Kα)).

Peak list (10 most intense, 2θ = 10–90°, most intense first)
| two_theta | Rel. int. |
| --- | --- |
| 10.37 | 100 |
| 13.20 | 51 |
| 10.96 | 47 |
| 10.81 | 46 |
| 30.78 | 38 |
| 11.38 | 36 |
| 26.57 | 24 |
| 30.13 | 23 |
| 46.52 | 19 |
| 16.81 | 19 |

Crystal structure
Unit cell a=9.0586 b=9.9907 c=18.3693 alpha=90.00 beta=116.96 gamma=90.00
Element x y z (fractional)
Nb1 0.0856 0.1075 0.0586
Nb2 0.0856 0.3925 0.5586
Nb3 0.9144 0.6075 0.4414
Nb4 0.9144 0.8925 0.9414
Al1 0.0693 0.2317 0.2395
Al2 0.0693 0.2683 0.7395
Al3 0.3950 0.1468 0.5827
Al4 0.3950 0.3532 0.0827
Al5 0.6050 0.6468 0.9173
Al6 0.6050 0.8532 0.4173
Al7 0.9307 0.7317 0.2605
Al8 0.9307 0.7683 0.7605
Se1 0.2007 0.6391 0.5728
Se2 0.2007 0.8609 0.0728
Se3 0.2075 0.5115 0.4692
Se4 0.2075 0.9885 0.9692
Se5 0.7925 0.0115 0.0308
Se6 0.7925 0.4885 0.5308
Se7 0.7993 0.1391 0.9272
Se8 0.7993 0.3609 0.4272
Cl1 0.0000 0.1792 0.6184
Cl2 0.0000 0.3208 0.1184
Cl3 0.0000 0.6792 0.8816
Cl4 0.0000 0.8208 0.3816
Cl5 0.1344 0.6948 0.2367
Cl6 0.1344 0.8052 0.7367
Cl7 0.1383 0.1830 0.4846
Cl8 0.1383 0.3170 0.9846
Cl9 0.1437 0.0365 0.2082
Cl10 0.1437 0.4635 0.7082
Cl11 0.2744 0.1665 0.8303
Cl12 0.2744 0.3335 0.3303
Cl13 0.3986 0.1728 0.1535
Cl14 0.3986 0.3272 0.6535
Cl15 0.3996 0.5292 0.1464
Cl16 0.3996 0.9708 0.6464
Cl17 0.4305 0.6721 0.9621
Cl18 0.4305 0.8279 0.4621
Cl19 0.5695 0.1721 0.5379
Cl20 0.5695 0.3279 0.0379
Cl21 0.6004 0.0292 0.3536
Cl22 0.6004 0.4708 0.8536
Cl23 0.6014 0.6728 0.3465
Cl24 0.6014 0.8272 0.8465
Cl25 0.7256 0.6665 0.6697
Cl26 0.7256 0.8335 0.1697
Cl27 0.8563 0.5365 0.2918
Cl28 0.8563 0.9635 0.7918
Cl29 0.8617 0.6830 0.0154
Cl30 0.8617 0.8170 0.5154
Cl31 0.8656 0.1948 0.2633
Cl32 0.8656 0.3052 0.7633

---

Entry 8:
For K2Re2Hg3S8, DFT lattice parameters and positions (PBE) gives the simulated PXRD pattern in this record (λ = 1.5418 Å (Cu Kα)).

Peak list (10 most intense, 2θ = 10–90°, most intense first)
| two_theta | Rel. int. |
| --- | --- |
| 16.11 | 100 |
| 23.42 | 67 |
| 33.11 | 67 |
| 23.93 | 64 |
| 28.85 | 56 |
| 23.26 | 50 |
| 34.33 | 38 |
| 29.04 | 32 |
| 47.56 | 31 |
| 27.71 | 29 |

Crystal structure
Unit cell a=6.6350 b=6.6350 c=10.8243 alpha=90.96 beta=90.96 gamma=76.08
Element x y z (fractional)
K1 0.2205 0.2205 0.2538
K2 0.7795 0.7795 0.7462
Re1 0.2213 0.2557 0.7425
Re2 0.7443 0.7787 0.2575
Hg1 0.3880 0.6120 0.0000
Hg2 0.5838 0.4162 0.5000
Hg3 0.8471 0.1529 0.0000
S1 0.2765 0.5625 0.7219
S2 0.3249 0.1572 0.9275
S3 0.3982 0.0682 0.5972
S4 0.4375 0.7235 0.2781
S5 0.7384 0.1070 0.2635
S6 0.8428 0.6751 0.0725
S7 0.8930 0.2616 0.7365
S8 0.9318 0.6018 0.4028